The following is a simulated powder XRD pattern of Ca8B3N8. It was derived from DFT lattice parameters and positions (PBE), using Cu Kα (λ = 1.5418 Å).

Largest 6 diffraction maxima, in order of falling intensity, 2θ from 10° to 90°:
d_spacing  2θ/deg  Rel. int.
2.457  36.57  100
2.774  32.27  54
2.735  32.74  50
3.444  25.87  39
2.965  30.14  32
2.609  34.38  30

Crystal structure
```
Ca8B3N8
1.0
8.5873 -2.4574 0.0000
8.5873 2.4574 0.0000
-2.0342 0.0000 6.6285
Ca B N
8 3 8
direct
0.0350 0.0350 0.2587
0.1992 0.1992 0.8121
0.3247 0.3247 0.5186
0.3960 0.3960 0.0641
0.6040 0.6040 0.9359
0.6753 0.6753 0.4814
0.8008 0.8008 0.1879
0.9650 0.9650 0.7413
0.1880 0.1880 0.2018
0.5000 0.5000 0.5000
0.8120 0.8120 0.7982
0.1111 0.1111 0.0171
0.1794 0.1794 0.4114
0.2727 0.2727 0.1680
0.4797 0.4797 0.6763
0.5203 0.5203 0.3237
0.7273 0.7273 0.8320
0.8206 0.8206 0.5886
0.8889 0.8889 0.9829
```


The following is a simulated powder XRD pattern of CaNdBN2. It was derived from DFT lattice parameters and positions (PBE), using Cu Kα (λ = 1.5418 Å).

Largest 6 diffraction maxima, in order of falling intensity, 2θ from 10° to 90°:
d_spacing  2θ/deg  Rel. int.
3.281  27.18  100
2.648  33.86  66
2.283  39.48  60
1.711  53.58  60
4.024  22.09  58
3.666  24.28  57

Crystal structure
```
CaNdBN2
1.0
3.7926 0.0000 0.0000
0.0000 4.0237 0.0000
-1.5013 0.0000 5.6687
Ca Nd B N
1 1 1 2
direct
0.0000 0.0000 0.0000
0.0000 0.5000 0.5000
0.5000 0.5000 0.0000
0.3799 0.5000 0.1995
0.6201 0.5000 0.8005
```


The following is a simulated powder XRD pattern of CaPmBN2. It was derived from DFT lattice parameters and positions (PBE), using Cu Kα (λ = 1.5418 Å).

Largest 6 diffraction maxima, in order of falling intensity, 2θ from 10° to 90°:
d_spacing  2θ/deg  Rel. int.
3.284  27.15  100
2.636  34.00  65
2.273  39.65  59
4.039  22.01  58
3.628  24.54  55
5.642  15.71  41

Crystal structure
```
CaPmBN2
1.0
3.7509 0.0000 0.0000
0.0000 4.0388 0.0000
-1.4831 0.0000 5.6419
Ca Pm B N
1 1 1 2
direct
0.0000 0.0000 0.0000
0.0000 0.5000 0.5000
0.5000 0.5000 0.0000
0.3800 0.5000 0.2011
0.6200 0.5000 0.7989
```


The following is a simulated powder XRD pattern of SrCaBN2. It was derived from DFT lattice parameters and positions (PBE), using Cu Kα (λ = 1.5418 Å).

Largest 6 diffraction maxima, in order of falling intensity, 2θ from 10° to 90°:
d_spacing  2θ/deg  Rel. int.
2.537  35.38  100
3.730  23.86  93
5.179  17.12  31
1.642  55.99  30
2.073  43.66  27
2.123  42.58  26

Crystal structure
```
SrCaBN2
1.0
5.1786 0.0000 0.0000
0.0000 5.3773 0.0000
0.0000 0.0000 6.9221
Sr Ca B N
2 2 2 4
direct
0.0000 0.0000 0.2500
0.0000 0.0000 0.7500
0.5000 0.5000 0.2500
0.5000 0.5000 0.7500
0.0000 0.5000 0.0000
0.0000 0.5000 0.5000
0.1960 0.3337 0.0000
0.1960 0.6663 0.5000
0.8040 0.3337 0.5000
0.8040 0.6663 0.0000
```


The following is a simulated powder XRD pattern of NaCaB12. It was derived from DFT lattice parameters and positions (PBE), using Cu Kα (λ = 1.5418 Å).

Largest 6 diffraction maxima, in order of falling intensity, 2θ from 10° to 90°:
d_spacing  2θ/deg  Rel. int.
2.938  30.42  100
2.399  37.49  54
1.385  67.64  38
1.858  49.02  37
2.078  43.56  29
1.314  71.85  25

Crystal structure
```
NaCaB12
1.0
0.0000 4.1551 4.1551
4.1551 0.0000 4.1551
4.1551 4.1551 0.0000
Na Ca B
1 1 12
direct
0.0000 0.0000 0.0000
0.5000 0.5000 0.5000
0.0998 0.0998 0.4002
0.0998 0.4002 0.0998
0.0998 0.4002 0.4002
0.4002 0.0998 0.0998
0.4002 0.0998 0.4002
0.4002 0.4002 0.0998
0.5998 0.5998 0.9002
0.5998 0.9002 0.5998
0.5998 0.9002 0.9002
0.9002 0.5998 0.5998
0.9002 0.5998 0.9002
0.9002 0.9002 0.5998
```


The following is a simulated powder XRD pattern of NaCaB2O4. It was derived from DFT lattice parameters and positions (PBE), using Cu Kα (λ = 1.5418 Å).

Largest 6 diffraction maxima, in order of falling intensity, 2θ from 10° to 90°:
d_spacing  2θ/deg  Rel. int.
2.399  37.49  100
2.331  38.63  40
2.007  45.19  30
1.953  46.50  24
2.863  31.24  22
4.013  22.15  21

Crystal structure
```
NaCaB2O4
1.0
5.3424 0.0000 0.0000
0.0000 5.7257 0.0000
0.0000 0.0000 6.0793
Na Ca B O
2 2 4 8
direct
0.0000 0.0000 0.0000
0.5000 0.5000 0.5000
0.0000 0.0000 0.5000
0.5000 0.5000 0.0000
0.0000 0.5000 0.3298
0.0000 0.5000 0.6702
0.5000 0.0000 0.1702
0.5000 0.0000 0.8298
0.1768 0.3557 0.2590
0.1768 0.6443 0.7410
0.3232 0.1443 0.7590
0.3232 0.8557 0.2410
0.6768 0.1443 0.2410
0.6768 0.8557 0.7590
0.8232 0.3557 0.7410
0.8232 0.6443 0.2590
```


The following is a simulated powder XRD pattern of NaCaBO3. It was derived from DFT lattice parameters and positions (PBE), using Cu Kα (λ = 1.5418 Å).

Largest 6 diffraction maxima, in order of falling intensity, 2θ from 10° to 90°:
d_spacing  2θ/deg  Rel. int.
2.635  34.03  100
1.881  48.38  68
2.688  33.33  60
4.656  19.06  56
2.187  41.28  52
1.344  70.01  18

Crystal structure
```
NaCaBO3
1.0
5.3758 0.0000 0.0000
-2.6879 4.6556 0.0000
0.0000 0.0000 6.3907
Na Ca B O
2 2 2 6
direct
0.3333 0.6667 0.2500
0.6667 0.3333 0.7500
0.0000 0.0000 0.0000
0.0000 0.0000 0.5000
0.3333 0.6667 0.7500
0.6667 0.3333 0.2500
0.1843 0.3685 0.7500
0.1843 0.8157 0.7500
0.3685 0.1843 0.2500
0.6315 0.8157 0.7500
0.8157 0.1843 0.2500
0.8157 0.6315 0.2500
```


The following is a simulated powder XRD pattern of NaCa4B3O9. It was derived from DFT lattice parameters and positions (PBE), using Cu Kα (λ = 1.5418 Å).

Largest 6 diffraction maxima, in order of falling intensity, 2θ from 10° to 90°:
d_spacing  2θ/deg  Rel. int.
2.508  35.80  100
2.694  33.25  59
2.079  43.52  53
2.797  32.00  37
2.143  42.16  37
1.992  45.54  34

Crystal structure
```
NaCa4B3O9
1.0
10.7772 0.0000 0.0000
0.0000 5.6778 3.2634
0.0000 -5.6778 3.2634
Na Ca B O
2 8 6 18
direct
0.2500 0.0717 0.9283
0.7500 0.9283 0.0717
0.0000 0.4254 0.4254
0.0283 0.8513 0.2793
0.2500 0.5483 0.8482
0.4717 0.8513 0.2793
0.5000 0.4254 0.4254
0.5283 0.2793 0.8513
0.7500 0.8482 0.5483
0.9717 0.2793 0.8513
0.0000 0.8495 0.8495
0.2500 0.1003 0.4448
0.2500 0.5342 0.2919
0.5000 0.8495 0.8495
0.7500 0.2919 0.5342
0.7500 0.4448 0.1003
0.0000 0.0607 0.0607
0.0286 0.6413 0.8474
0.1389 0.1877 0.5685
0.1391 0.4817 0.1598
0.2500 0.6184 0.5301
0.2500 0.9285 0.2085
0.3611 0.1877 0.5685
0.3609 0.4817 0.1598
0.4714 0.6413 0.8474
0.5000 0.0607 0.0607
0.5286 0.8474 0.6413
0.6391 0.1598 0.4817
0.6389 0.5685 0.1877
0.7500 0.2085 0.9285
0.7500 0.5301 0.6184
0.8609 0.1598 0.4817
0.8611 0.5685 0.1877
0.9714 0.8474 0.6413
```


The following is a simulated powder XRD pattern of CaNi4B4. It was derived from DFT lattice parameters and positions (PBE), using Cu Kα (λ = 1.5418 Å).

Largest 6 diffraction maxima, in order of falling intensity, 2θ from 10° to 90°:
d_spacing  2θ/deg  Rel. int.
2.435  36.91  100
2.237  40.32  68
5.002  17.73  62
1.842  49.48  37
2.092  43.25  36
1.745  52.44  31

Crystal structure
```
CaNi4B4
1.0
7.0744 0.0000 0.0000
0.0000 7.0744 0.0000
0.0000 0.0000 3.8155
Ca Ni B
2 8 8
direct
0.2500 0.2500 0.2500
0.7500 0.7500 0.7500
0.1093 0.6367 0.1391
0.1367 0.8907 0.6391
0.3633 0.6093 0.6391
0.3907 0.8633 0.1391
0.6093 0.1367 0.8609
0.6367 0.3907 0.3609
0.8633 0.1093 0.3609
0.8907 0.3633 0.8609
0.0506 0.9191 0.1419
0.0809 0.5506 0.6419
0.4191 0.9494 0.6419
0.4494 0.5809 0.1419
0.5506 0.4191 0.8581
0.5809 0.0506 0.3581
0.9191 0.4494 0.3581
0.9494 0.0809 0.8581
```


The following is a simulated powder XRD pattern of CaNi3B. It was derived from DFT lattice parameters and positions (PBE), using Cu Kα (λ = 1.5418 Å).

Largest 6 diffraction maxima, in order of falling intensity, 2θ from 10° to 90°:
d_spacing  2θ/deg  Rel. int.
2.172  41.58  100
2.468  36.41  57
1.759  51.99  45
2.998  29.80  32
1.924  47.25  32
1.234  77.34  26

Crystal structure
```
CaNi3B
1.0
-2.5093 2.9984 4.3422
2.5093 -2.9984 4.3422
2.5093 2.9984 -4.3422
Ca Ni B
2 6 2
direct
0.0000 0.0000 0.0000
0.5000 0.0000 0.5000
0.0000 0.0000 0.5000
0.0000 0.5000 0.0000
0.2686 0.5000 0.7686
0.5000 0.0000 0.0000
0.5000 0.5000 0.5000
0.7314 0.5000 0.2314
0.3295 0.3295 0.0000
0.6705 0.6705 0.0000
```


The following is a simulated powder XRD pattern of CaNpB12. It was derived from DFT lattice parameters and positions (PBE), using Cu Kα (λ = 1.5418 Å).

Largest 6 diffraction maxima, in order of falling intensity, 2θ from 10° to 90°:
d_spacing  2θ/deg  Rel. int.
2.907  30.75  100
4.748  18.69  92
4.112  21.61  62
2.479  36.23  57
1.839  49.57  50
2.374  37.90  43

Crystal structure
```
CaNpB12
1.0
0.0000 4.1118 4.1118
4.1118 0.0000 4.1118
4.1118 4.1118 0.0000
Ca Np B
1 1 12
direct
0.0000 0.0000 0.0000
0.5000 0.5000 0.5000
0.0996 0.0996 0.4004
0.0996 0.4004 0.0996
0.0996 0.4004 0.4004
0.4004 0.0996 0.0996
0.4004 0.0996 0.4004
0.4004 0.4004 0.0996
0.5996 0.5996 0.9004
0.5996 0.9004 0.5996
0.5996 0.9004 0.9004
0.9004 0.5996 0.5996
0.9004 0.5996 0.9004
0.9004 0.9004 0.5996
```


The following is a simulated powder XRD pattern of CaB3O10. It was derived from DFT lattice parameters and positions (PBE), using Cu Kα (λ = 1.5418 Å).

Largest 6 diffraction maxima, in order of falling intensity, 2θ from 10° to 90°:
d_spacing  2θ/deg  Rel. int.
5.563  15.93  100
3.092  28.88  73
3.764  23.63  61
5.939  14.92  51
3.782  23.53  46
4.144  21.44  43

Crystal structure
```
CaB3O10
1.0
6.3074 0.0000 0.0000
2.6807 7.8352 0.0000
1.4438 1.6801 8.3083
Ca B O
2 6 20
direct
0.0999 0.2752 0.1182
0.9001 0.7248 0.8818
0.1925 0.3298 0.7735
0.2387 0.2196 0.5312
0.2969 0.0024 0.7946
0.7031 0.9976 0.2054
0.7613 0.7804 0.4688
0.8075 0.6702 0.2265
0.0363 0.9452 0.5570
0.1353 0.4565 0.8582
0.1678 0.8831 0.8626
0.1890 0.2470 0.3776
0.2119 0.3574 0.6060
0.2268 0.1588 0.8655
0.2992 0.6778 0.2914
0.3030 0.0498 0.6177
0.3603 0.5650 0.2095
0.4894 0.1161 0.1542
0.5106 0.8839 0.8458
0.6397 0.4350 0.7905
0.6970 0.9502 0.3823
0.7008 0.3222 0.7086
0.7732 0.8412 0.1345
0.7881 0.6426 0.3940
0.8110 0.7530 0.6224
0.8322 0.1169 0.1374
0.8647 0.5435 0.1418
0.9637 0.0548 0.4430
```